Computed powder X-ray diffraction pattern of Fe2Co5 for Cu Kα (weighted mean of Kα1 and Kα2), from a cell relaxed with GGA-PBE.
Lines closer than 0.1° are merged.

Structural model:
a = 2.4524 Å, b = 2.4524 Å, c = 13.9773 Å
α = 93.16°, β = 93.16°, γ = 108.87°
Atoms (fractional coordinates):
Fe1 0.0722 0.0722 0.1441
Fe2 0.9278 0.9278 0.8559
Co1 0.2145 0.2145 0.4297
Co2 0.3541 0.3541 0.7125
Co3 0.5000 0.5000 0.0000
Co4 0.6459 0.6459 0.2875
Co5 0.7855 0.7855 0.5703

Largest 11 diffraction maxima, low angle first, 15 to 90 degrees two-theta:
d_spacing  I_rel
2.009  68
1.998  100
1.988  33
1.426  10
1.408  19
1.163  5
1.160  10
1.155  14
1.154  10
1.153  10
1.148  9